Structure and computed powder diffraction line list of TbDy5Tm12 (a GGA-PBE-relaxed structure; Cu Ka).

abc: 6.096 10.572 16.969
angles: 90.00 96.40 90.00
Space group C2/m (No. 12)
One atom of each set of equivalent atoms:
Tb 0.000 0.000 0.000 [2 per cell]
Dy 0.000 0.167 0.500 [4 per cell]
Dy 0.000 0.333 0.000 [4 per cell]
Dy 0.000 0.500 0.500 [2 per cell]
Tm 0.111 0.000 0.331 [4 per cell]
Tm 0.111 0.333 0.331 [8 per cell]
Tm 0.222 0.500 0.167 [4 per cell]
Tm 0.223 0.167 0.167 [8 per cell]

Largest 12 diffraction maxima, sorted by position, 2θ = 10–80°:
30.6°, I = 88, hkl 1 3 -2; 31.8°, I = 100, hkl 0 0 6; 32.5°, I = 30, hkl 2 0 2; 32.6°, I = 59, hkl 1 3 -3; 34.3°, I = 54, hkl 1 3 3; 34.5°, I = 27, hkl 2 0 -4; 35.4°, I = 18, hkl 1 3 -4; 37.4°, I = 34, hkl 1 3 4; 51.9°, I = 60, hkl 0 6 0; 62.0°, I = 24, hkl 3 3 5; 62.2°, I = 25, hkl 0 6 6; 62.5°, I = 23, hkl 3 3 -7

***

Structure and computed powder diffraction line list of Sr3TcN3 (a GGA-PBE-relaxed structure; Cu Ka).

abc: 8.944 10.898 5.456
angles: 90.00 90.00 90.00
Space group Cmcm (No. 63)
One atom of each set of equivalent atoms:
Sr 0.000 0.107 0.250 [4 per cell]
Sr 0.210 0.382 0.250 [8 per cell]
Tc 0.000 0.306 0.750 [4 per cell]
N 0.000 0.127 0.750 [4 per cell]
N 0.193 0.372 0.750 [8 per cell]

Largest 12 diffraction maxima, sorted by position, 2θ = 10–80°:
30.6°, I = 100, hkl 2 2 1; 31.1°, I = 15, hkl 3 1 0; 31.2°, I = 29, hkl 1 3 1; 32.8°, I = 69, hkl 0 0 2; 35.3°, I = 12, hkl 3 1 1; 40.3°, I = 14, hkl 4 0 0; 47.1°, I = 15, hkl 0 4 2; 52.0°, I = 15, hkl 3 5 0; 53.0°, I = 17, hkl 4 0 2; 57.2°, I = 20, hkl 2 2 3; 60.1°, I = 11, hkl 5 3 1; 62.8°, I = 16, hkl 3 5 2

***

Structure and computed powder diffraction line list of Ca2Ti5Bi4O18 (a GGA-PBE-relaxed structure; Cu Ka).

abc: 5.477 48.933 5.532
angles: 90.00 90.00 90.00
Space group Aea2 (No. 41)
One atom of each set of equivalent atoms:
Ca 0.009 0.040 0.000 [8 per cell]
Ti 0.000 0.000 0.517 [4 per cell]
Ti 0.000 0.166 0.516 [8 per cell]
Ti 0.005 0.422 0.018 [8 per cell]
Bi 0.005 0.124 0.971 [8 per cell]
Bi 0.025 0.276 0.432 [8 per cell]
O 0.065 0.299 0.025 [8 per cell]
O 0.068 0.118 0.565 [8 per cell]
O 0.083 0.461 0.064 [8 per cell]
O 0.204 0.416 0.345 [8 per cell]
O 0.211 0.071 0.267 [8 per cell]
O 0.215 0.163 0.818 [8 per cell]
O 0.232 0.346 0.770 [8 per cell]
O 0.240 0.250 0.708 [8 per cell]
O 0.245 0.007 0.292 [8 per cell]

Largest 12 diffraction maxima, sorted by position, 2θ = 10–80°:
14.5°, I = 33, hkl 0 8 0; 22.9°, I = 14, hkl 1 1 1; 23.5°, I = 35, hkl 1 3 1; 28.2°, I = 83, hkl 1 9 1; 30.5°, I = 100, hkl 1 11 1; 32.4°, I = 29, hkl 0 0 2; 32.7°, I = 29, hkl 2 0 0; 36.7°, I = 14, hkl 0 20 0; 46.7°, I = 29, hkl 2 0 2; 50.0°, I = 14, hkl 2 20 0; 56.6°, I = 14, hkl 1 11 3; 57.0°, I = 17, hkl 3 11 1